Record 1
Computed powder diffraction line list
Compound: Ho2ZnO
Radiation: copper Kα
Structure: DFT lattice parameters and positions (PBE)
Peak positions follow from Bragg's law for the DFT cell and can differ from measured ones.

Principal peaks in the range 2θ = 5–70°, most intense first:
| index | 2θ (°) | Rel. int. |
| --- | --- | --- |
| 1 0 1 | 30.25 | 100 |
| 0 0 3 | 10.31 | 73 |
| 0 1 8 | 41.35 | 66 |
| 0 0 9 | 31.28 | 48 |
| 1 0 4 | 33.19 | 45 |
| 0 1 5 | 34.84 | 43 |
| 1 1 9 | 63.17 | 39 |
| 1 1 0 | 53.36 | 39 |

Crystal structure
```
data_Ho2ZnO
_chemical_formula_sum 'Ho6 Zn3 O3'
_cell_length_a 3.4340
_cell_length_b 3.4340
_cell_length_c 25.7326
_cell_angle_alpha 90.00
_cell_angle_beta 90.00
_cell_angle_gamma 120.00
_space_group_name_H-M_alt 'R -3 m'
_space_group_IT_number 166
_space_group_name_Hall '-R 3 2"'
loop_
_atom_site_label
_atom_site_type_symbol
_atom_site_fract_x
_atom_site_fract_y
_atom_site_fract_z
_atom_site_occupancy
Ho1 Ho 0.0000 0.0000 0.1147 1
Zn1 Zn 0.0000 0.0000 0.0000 1
O1 O 0.0000 0.0000 0.5000 1
```

=====

Record 2
Computed powder diffraction line list
Compound: Ho2Zr8O19
Radiation: copper Kα
Structure: DFT lattice parameters and positions (PBE)
Peak positions follow from Bragg's law for the DFT cell and can differ from measured ones.

Principal peaks in the range 2θ = 5–70°, most intense first:
| index | 2θ (°) | Rel. int. |
| --- | --- | --- |
| 1 0 5 | 29.75 | 100 |
| 1 1 10 | 49.44 | 35 |
| 2 1 5 | 59.10 | 28 |
| 2 0 0 | 49.81 | 19 |
| 1 1 0 | 34.65 | 17 |
| 1 0 15 | 58.44 | 12 |
| 0 0 10 | 34.15 | 8 |
| 2 0 10 | 61.78 | 7 |

Crystal structure
```
data_Ho2Zr8O19
_chemical_formula_sum 'Ho2 Zr8 O19'
_cell_length_a 3.6614
_cell_length_b 3.6614
_cell_length_c 26.2554
_cell_angle_alpha 90.00
_cell_angle_beta 90.00
_cell_angle_gamma 90.00
_space_group_name_H-M_alt 'P -4 m 2'
_space_group_IT_number 115
_space_group_name_Hall 'P -4 -2'
loop_
_atom_site_label
_atom_site_type_symbol
_atom_site_fract_x
_atom_site_fract_y
_atom_site_fract_z
_atom_site_occupancy
Ho1 Ho 0.0000 0.5000 0.0573 1
Zr1 Zr 0.0000 0.5000 0.2535 1
Zr2 Zr 0.0000 0.5000 0.4510 1
Zr3 Zr 0.0000 0.5000 0.6474 1
Zr4 Zr 0.0000 0.5000 0.8461 1
O1 O 0.0000 0.0000 0.0000 1
O2 O 0.0000 0.0000 0.1128 1
O3 O 0.0000 0.0000 0.2121 1
O4 O 0.0000 0.0000 0.3098 1
O5 O 0.0000 0.0000 0.4056 1
O6 O 0.0000 0.0000 0.5000 1
O7 O 0.5000 0.5000 0.0955 1
O8 O 0.5000 0.5000 0.1951 1
O9 O 0.5000 0.5000 0.2959 1
O10 O 0.5000 0.5000 0.3976 1
O11 O 0.5000 0.5000 0.5000 1
```

=====

Record 3
Computed powder diffraction line list
Compound: Ho3ZrO6
Radiation: copper Kα
Structure: DFT lattice parameters and positions (PBE)
Peak positions follow from Bragg's law for the DFT cell and can differ from measured ones.

Principal peaks in the range 2θ = 5–70°, most intense first:
| index | 2θ (°) | Rel. int. |
| --- | --- | --- |
| 2 1 1 | 29.83 | 100 |
| 3 -2 2 | 32.95 | 54 |
| 1 1 3 | 30.44 | 43 |
| 1 4 0 | 50.88 | 32 |
| 0 0 3 | 23.81 | 26 |
| 2 0 2 | 26.89 | 23 |
| 2 1 4 | 43.47 | 18 |
| 2 -1 6 | 52.64 | 18 |

Crystal structure
```
data_Ho3ZrO6
_chemical_formula_sum 'Ho18 Zr6 O36'
_cell_length_a 9.4968
_cell_length_b 9.4968
_cell_length_c 11.2111
_cell_angle_alpha 90.00
_cell_angle_beta 90.00
_cell_angle_gamma 120.00
_space_group_name_H-M_alt 'R -3'
_space_group_IT_number 148
_space_group_name_Hall '-R 3'
loop_
_atom_site_label
_atom_site_type_symbol
_atom_site_fract_x
_atom_site_fract_y
_atom_site_fract_z
_atom_site_occupancy
Ho1 Ho 0.0368 0.2556 0.2168 1
Zr1 Zr 0.0000 0.0000 0.0000 1
Zr2 Zr 0.0000 0.0000 0.5000 1
O1 O 0.0288 0.2286 0.4146 1
O2 O 0.0322 0.1880 0.8837 1
```

=====

Record 4
Computed powder diffraction line list
Compound: Ho6OsPb2
Radiation: copper Kα
Structure: DFT lattice parameters and positions (PBE)
Peak positions follow from Bragg's law for the DFT cell and can differ from measured ones.

Principal peaks in the range 2θ = 5–70°, most intense first:
| index | 2θ (°) | Rel. int. |
| --- | --- | --- |
| 1 1 1 | 30.07 | 100 |
| 2 0 1 | 32.71 | 93 |
| 2 1 1 | 39.69 | 59 |
| 2 1 0 | 33.69 | 49 |
| 3 0 0 | 38.36 | 48 |
| 3 2 1 | 61.21 | 36 |
| 0 0 2 | 41.44 | 33 |
| 3 0 2 | 57.74 | 30 |

Crystal structure
```
data_Ho6OsPb2
_chemical_formula_sum 'Ho6 Os1 Pb2'
_cell_length_a 8.1278
_cell_length_b 8.1278
_cell_length_c 4.3579
_cell_angle_alpha 90.00
_cell_angle_beta 90.00
_cell_angle_gamma 120.00
_space_group_name_H-M_alt 'P -6 2 m'
_space_group_IT_number 189
_space_group_name_Hall 'P -6 -2'
loop_
_atom_site_label
_atom_site_type_symbol
_atom_site_fract_x
_atom_site_fract_y
_atom_site_fract_z
_atom_site_occupancy
Ho1 Ho 0.0000 0.2377 0.0000 1
Ho2 Ho 0.0000 0.6072 0.5000 1
Os1 Os 0.0000 0.0000 0.5000 1
Pb1 Pb 0.3333 0.6667 0.0000 1
```

=====

Record 5
Computed powder diffraction line list
Compound: PmHoOs4
Radiation: copper Kα
Structure: DFT lattice parameters and positions (PBE)
Peak positions follow from Bragg's law for the DFT cell and can differ from measured ones.

Principal peaks in the range 2θ = 5–70°, most intense first:
| index | 2θ (°) | Rel. int. |
| --- | --- | --- |
| 3 1 1 | 39.23 | 100 |
| 2 2 2 | 41.05 | 47 |
| 5 1 1 | 63.46 | 33 |
| 4 4 0 | 69.85 | 30 |
| 2 2 0 | 33.27 | 21 |
| 1 1 1 | 20.19 | 12 |
| 4 2 2 | 59.45 | 8 |
| 4 0 0 | 47.76 | 8 |

Crystal structure
```
data_PmHoOs4
_chemical_formula_sum 'Pm4 Ho4 Os16'
_cell_length_a 7.6170
_cell_length_b 7.6170
_cell_length_c 7.6170
_cell_angle_alpha 90.00
_cell_angle_beta 90.00
_cell_angle_gamma 90.00
_space_group_name_H-M_alt 'F -4 3 m'
_space_group_IT_number 216
_space_group_name_Hall 'F -4 2 3'
loop_
_atom_site_label
_atom_site_type_symbol
_atom_site_fract_x
_atom_site_fract_y
_atom_site_fract_z
_atom_site_occupancy
Pm1 Pm 0.0000 0.0000 0.0000 1
Ho1 Ho 0.2500 0.2500 0.7500 1
Os1 Os 0.1248 0.1248 0.3752 1
```

=====

Record 6
Computed powder diffraction line list
Compound: PmHo3Os
Radiation: copper Kα
Structure: DFT lattice parameters and positions (PBE)
Peak positions follow from Bragg's law for the DFT cell and can differ from measured ones.

Principal peaks in the range 2θ = 5–70°, most intense first:
| index | 2θ (°) | Rel. int. |
| --- | --- | --- |
| 2 1 1 | 30.62 | 100 |
| 0 2 1 | 31.22 | 46 |
| 2 1 2 | 39.69 | 41 |
| 2 3 0 | 48.55 | 30 |
| 1 1 1 | 22.94 | 24 |
| 2 1 3 | 51.85 | 23 |
| 0 2 2 | 40.17 | 20 |
| 0 0 2 | 28.53 | 20 |

Crystal structure
```
data_PmHo3Os
_chemical_formula_sum 'Pm2 Ho6 Os2'
_cell_length_a 7.6879
_cell_length_b 6.4445
_cell_length_c 6.2581
_cell_angle_alpha 90.00
_cell_angle_beta 90.00
_cell_angle_gamma 90.00
_space_group_name_H-M_alt 'P m n 21'
_space_group_IT_number 31
_space_group_name_Hall 'P 2ac -2'
loop_
_atom_site_label
_atom_site_type_symbol
_atom_site_fract_x
_atom_site_fract_y
_atom_site_fract_z
_atom_site_occupancy
Pm1 Pm 0.0000 0.1531 0.0000 1
Ho1 Ho 0.0000 0.8397 0.4925 1
Ho2 Ho 0.2491 0.3229 0.4968 1
Os1 Os 0.0000 0.5035 0.7462 1
```

=====

Record 7
Computed powder diffraction line list
Compound: Ho5Os2Pt
Radiation: copper Kα
Structure: DFT lattice parameters and positions (PBE)
Peak positions follow from Bragg's law for the DFT cell and can differ from measured ones.

Principal peaks in the range 2θ = 5–70°, most intense first:
| index | 2θ (°) | Rel. int. |
| --- | --- | --- |
| 2 1 3 | 33.26 | 100 |
| 3 1 0 | 38.45 | 51 |
| 2 0 4 | 35.43 | 51 |
| 3 1 8 | 67.10 | 21 |
| 2 1 5 | 42.46 | 19 |
| 2 2 0 | 34.25 | 18 |
| 1 1 2 | 21.25 | 13 |
| 0 0 2 | 12.74 | 13 |

Crystal structure
```
data_Ho5Os2Pt
_chemical_formula_sum 'Ho20 Os8 Pt4'
_cell_length_a 7.4043
_cell_length_b 7.4043
_cell_length_c 13.8969
_cell_angle_alpha 90.00
_cell_angle_beta 90.00
_cell_angle_gamma 90.00
_space_group_name_H-M_alt 'I 4/m c m'
_space_group_IT_number 140
_space_group_name_Hall '-I 4 2c'
loop_
_atom_site_label
_atom_site_type_symbol
_atom_site_fract_x
_atom_site_fract_y
_atom_site_fract_z
_atom_site_occupancy
Ho1 Ho 0.0000 0.0000 0.0000 1
Ho2 Ho 0.1760 0.3240 0.1399 1
Os1 Os 0.1214 0.3786 0.5000 1
Pt1 Pt 0.0000 0.0000 0.2500 1
```

=====

Record 8
Computed powder diffraction line list
Compound: Ho6OsPt3
Radiation: copper Kα
Structure: DFT lattice parameters and positions (PBE)
Peak positions follow from Bragg's law for the DFT cell and can differ from measured ones.

Principal peaks in the range 2θ = 5–70°, most intense first:
| index | 2θ (°) | Rel. int. |
| --- | --- | --- |
| 3 0 1 | 37.77 | 100 |
| 0 0 2 | 37.21 | 82 |
| 1 4 1 | 37.02 | 64 |
| 1 3 1 | 31.06 | 38 |
| 2 4 2 | 53.64 | 21 |
| 2 3 0 | 31.27 | 19 |
| 3 0 3 | 67.46 | 19 |
| 1 2 0 | 18.35 | 16 |

Crystal structure
```
data_Ho6OsPt3
_chemical_formula_sum 'Ho12 Os2 Pt6'
_cell_length_a 8.2136
_cell_length_b 11.9575
_cell_length_c 4.8322
_cell_angle_alpha 90.00
_cell_angle_beta 90.00
_cell_angle_gamma 90.00
_space_group_name_H-M_alt 'P n n m'
_space_group_IT_number 58
_space_group_name_Hall '-P 2 2n'
loop_
_atom_site_label
_atom_site_type_symbol
_atom_site_fract_x
_atom_site_fract_y
_atom_site_fract_z
_atom_site_occupancy
Ho1 Ho 0.0002 0.2462 0.0000 1
Ho2 Ho 0.1521 0.4097 0.5000 1
Ho3 Ho 0.1755 0.0756 0.5000 1
Os1 Os 0.0000 0.5000 0.0000 1
Pt1 Pt 0.0000 0.0000 0.0000 1
Pt2 Pt 0.1672 0.8292 0.5000 1
```

=====

Record 9
Computed powder diffraction line list
Compound: Ho4OsRh2
Radiation: copper Kα
Structure: DFT lattice parameters and positions (PBE)
Peak positions follow from Bragg's law for the DFT cell and can differ from measured ones.

Principal peaks in the range 2θ = 5–70°, most intense first:
| index | 2θ (°) | Rel. int. |
| --- | --- | --- |
| 1 1 0 | 37.34 | 100 |
| 0 1 8 | 37.62 | 98 |
| 1 2 8 | 67.53 | 35 |
| 2 0 8 | 54.04 | 35 |
| 0 0 3 | 11.37 | 18 |
| 3 0 0 | 67.34 | 18 |
| 1 0 16 | 68.09 | 17 |
| 1 0 4 | 26.26 | 14 |

Crystal structure
```
data_Ho4OsRh2
_chemical_formula_sum 'Ho12 Os3 Rh6'
_cell_length_a 4.8169
_cell_length_b 4.8169
_cell_length_c 23.3415
_cell_angle_alpha 90.00
_cell_angle_beta 90.00
_cell_angle_gamma 120.00
_space_group_name_H-M_alt 'R -3 m'
_space_group_IT_number 166
_space_group_name_Hall '-R 3 2"'
loop_
_atom_site_label
_atom_site_type_symbol
_atom_site_fract_x
_atom_site_fract_y
_atom_site_fract_z
_atom_site_occupancy
Ho1 Ho 0.0000 0.0000 0.1242 1
Ho2 Ho 0.0000 0.0000 0.3747 1
Os1 Os 0.0000 0.0000 0.0000 1
Rh1 Rh 0.0000 0.0000 0.2499 1
```

=====

Record 10
Computed powder diffraction line list
Compound: Ho8Sb2Os
Radiation: copper Kα
Structure: DFT lattice parameters and positions (PBE)
Peak positions follow from Bragg's law for the DFT cell and can differ from measured ones.

Principal peaks in the range 2θ = 5–70°, most intense first:
| index | 2θ (°) | Rel. int. |
| --- | --- | --- |
| 1 1 -2 | 32.61 | 100 |
| 0 2 0 | 36.44 | 68 |
| 5 1 0 | 30.20 | 60 |
| 7 1 -1 | 37.83 | 44 |
| 7 1 3 | 66.07 | 40 |
| 3 1 1 | 29.00 | 38 |
| 1 1 2 | 34.85 | 34 |
| 6 0 -1 | 28.54 | 24 |

Crystal structure
```
data_Ho8Sb2Os
_chemical_formula_sum 'Ho16 Sb4 Os2'
_cell_length_a 19.2140
_cell_length_b 4.9314
_cell_length_c 6.6444
_cell_angle_alpha 90.00
_cell_angle_beta 105.67
_cell_angle_gamma 90.00
_space_group_name_H-M_alt 'C 1 2/m 1'
_space_group_IT_number 12
_space_group_name_Hall '-C 2y'
loop_
_atom_site_label
_atom_site_type_symbol
_atom_site_fract_x
_atom_site_fract_y
_atom_site_fract_z
_atom_site_occupancy
Ho1 Ho 0.0206 0.0000 0.2891 1
Ho2 Ho 0.0893 0.5000 0.9569 1
Ho3 Ho 0.1457 0.5000 0.5071 1
Ho4 Ho 0.2197 0.0000 0.8260 1
Sb1 Sb 0.1808 0.0000 0.2574 1
Os1 Os 0.0000 0.5000 0.5000 1
```

=====

Record 11
Computed powder diffraction line list
Compound: Ho3SbOs
Radiation: copper Kα
Structure: DFT lattice parameters and positions (PBE)
Peak positions follow from Bragg's law for the DFT cell and can differ from measured ones.

Principal peaks in the range 2θ = 5–70°, most intense first:
| index | 2θ (°) | Rel. int. |
| --- | --- | --- |
| 6 0 -2 | 36.15 | 100 |
| 3 1 1 | 34.96 | 71 |
| 0 2 0 | 36.57 | 36 |
| 6 2 -2 | 52.41 | 24 |
| 0 0 1 | 12.10 | 19 |
| 9 1 -1 | 63.59 | 13 |
| 3 3 1 | 64.79 | 12 |
| 3 3 -3 | 65.54 | 12 |

Crystal structure
```
data_Ho3SbOs
_chemical_formula_sum 'Ho12 Sb4 Os4'
_cell_length_a 14.8978
_cell_length_b 4.9148
_cell_length_c 8.6616
_cell_angle_alpha 90.00
_cell_angle_beta 122.37
_cell_angle_gamma 90.00
_space_group_name_H-M_alt 'C 1 2/m 1'
_space_group_IT_number 12
_space_group_name_Hall '-C 2y'
loop_
_atom_site_label
_atom_site_type_symbol
_atom_site_fract_x
_atom_site_fract_y
_atom_site_fract_z
_atom_site_occupancy
Ho1 Ho 0.0718 0.0000 0.2195 1
Ho2 Ho 0.0977 0.5000 0.7991 1
Ho3 Ho 0.2487 0.0000 0.7625 1
Sb1 Sb 0.1463 0.5000 0.4892 1
Os1 Os 0.1668 0.0000 0.0030 1
```

=====

Record 12
Computed powder diffraction line list
Compound: Ho12Sb6Os
Radiation: copper Kα
Structure: DFT lattice parameters and positions (PBE)
Peak positions follow from Bragg's law for the DFT cell and can differ from measured ones.

Principal peaks in the range 2θ = 5–70°, most intense first:
| index | 2θ (°) | Rel. int. |
| --- | --- | --- |
| 3 -1 4 | 36.58 | 100 |
| 4 -1 2 | 32.29 | 98 |
| 3 -1 1 | 22.15 | 58 |
| 1 0 4 | 30.81 | 43 |
| 2 3 2 | 37.89 | 42 |
| 1 2 2 | 25.64 | 27 |
| 6 -4 1 | 43.16 | 27 |
| 2 2 6 | 53.76 | 23 |

Crystal structure
```
data_Ho12Sb6Os
_chemical_formula_sum 'Ho36 Sb18 Os3'
_cell_length_a 13.0127
_cell_length_b 13.0127
_cell_length_c 12.0131
_cell_angle_alpha 90.00
_cell_angle_beta 90.00
_cell_angle_gamma 120.00
_space_group_name_H-M_alt 'R -3'
_space_group_IT_number 148
_space_group_name_Hall '-R 3'
loop_
_atom_site_label
_atom_site_type_symbol
_atom_site_fract_x
_atom_site_fract_y
_atom_site_fract_z
_atom_site_occupancy
Ho1 Ho 0.0285 0.8393 0.3867 1
Ho2 Ho 0.0619 0.8692 0.8788 1
Sb1 Sb 0.0440 0.7593 0.6390 1
Os1 Os 0.0000 0.0000 0.0000 1
```